For AcNd4Tl5, a crystal structure in Alexandria, relaxed with GGA-PBE gives the simulated XRD peak list in this record (Cu Kα).
Kinematic intensities with the Lorentz-polarization factor, no thermal factor.

Structural model:
```
AcNd4Tl5
1.0
3.916 0.000 0.000
0.000 3.916 0.000
0.000 0.000 20.119
Ac Nd Tl
1 4 5
Direct
0.000 0.000 0.000
0.000 0.000 0.208
0.000 0.000 0.403
0.000 0.000 0.597
0.000 0.000 0.792
0.500 0.500 0.112
0.500 0.500 0.307
0.500 0.500 0.500
0.500 0.500 0.693
0.500 0.500 0.888
```

Main lines, by angle (2θ from 10° to 90°):
d (Å)  Position (°2θ)  I_rel  h k l
2.806  31.9  100  1 0 5
2.769  32.3  51  1 1 0
2.012  45.1  8  0 0 10
1.958  46.4  19  2 0 0
1.628  56.5  17  1 1 10
1.606  57.4  38  2 1 5
1.403  66.7  10  2 0 10
1.385  67.7  6  2 2 0
1.242  76.8  8  3 0 5
1.238  77.0  9  3 1 0